Calculated powder diffractogram of CoBHBr2 for Cu Kα X-rays, from the PBE geometry in Alexandria.

Crystal structure
Cell lengths 4.923, 4.923, 3.354 Å; angles 90.00, 90.00, 90.00 degrees
Space group P4/mmm (No. 123)
Symmetry-distinct sites (fractional):
Co: 0.000 0.000 0.000 x1
B: 0.500 0.500 0.500 x1
H: 0.000 0.000 0.500 x1
Br: 0.000 0.500 0.000 x2

Largest 6 diffraction maxima, by intensity, 2θ from 5° to 70°:
Position (°2θ), I (rel.), h k l
36.5, 100, 2 0 0
26.6, 99, 0 0 1
45.7, 88, 2 0 1
37.2, 42, 1 1 1
59.9, 39, 2 2 1
25.6, 38, 1 1 0